No. 1
Pm2Ga3Cu4Ir: theoretical X-ray powder pattern (Cu Kα), based on a DFT-relaxed cell (PBE, Alexandria).
Lines closer than 0.1° are merged.

Structure:
```
data_Pm2Ga3Cu4Ir
_symmetry_space_group_name_H-M 'P -4 m 2'
_symmetry_Int_Tables_number 115
_cell_length_a 4.0743
_cell_length_b 4.0743
_cell_length_c 10.6355
_cell_angle_alpha 90.00
_cell_angle_beta 90.00
_cell_angle_gamma 90.00
loop_
_symmetry_equiv_pos_as_xyz
'x,y,z'
'y,-x,-z'
'-x,-y,z'
'-y,x,-z'
'-x,y,z'
'-y,-x,-z'
'x,-y,z'
'y,x,-z'
loop_
_atom_site_label
_atom_site_fract_x
_atom_site_fract_y
_atom_site_fract_z
_atom_site_occupancy
Pm1 0.0000 0.5000 0.2440 1
Ga1 0.0000 0.0000 0.0000 1
Ga2 0.0000 0.5000 0.6289 1
Cu1 0.0000 0.0000 0.5000 1
Cu2 0.0000 0.5000 0.8576 1
Cu3 0.5000 0.5000 0.5000 1
Ir1 0.5000 0.5000 0.0000 1
```

Main lines, low angle first (2θ = 10–80°):
hkl	two_theta	I_rel
1 0 1	23.38	10.3
1 0 3	33.51	46.8
0 0 4	33.71	9.4
1 1 2	35.44	100.0
2 0 0	44.47	47.2
1 1 4	46.48	12.4
1 0 5	48.26	23.5
2 1 3	56.81	20.4
1 1 6	61.41	12.7
2 2 0	64.71	15.0
2 1 5	67.71	16.6
3 1 2	76.00	21.0

---

No. 2
SnHg2S2Br2: theoretical X-ray powder pattern (Cu Kα), based on a DFT-relaxed cell (PBE, Alexandria).
Lines closer than 0.1° are merged.

Structure:
```
data_SnHg2S2Br2
_symmetry_space_group_name_H-M 'P 1 21/c 1'
_symmetry_Int_Tables_number 14
_cell_length_a 10.1211
_cell_length_b 11.1709
_cell_length_c 10.5101
_cell_angle_alpha 90.00
_cell_angle_beta 105.68
_cell_angle_gamma 90.00
loop_
_symmetry_equiv_pos_as_xyz
'x,y,z'
'-x,-y,-z'
'-x,y+1/2,-z+1/2'
'x,-y+1/2,z+1/2'
loop_
_atom_site_label
_atom_site_fract_x
_atom_site_fract_y
_atom_site_fract_z
_atom_site_occupancy
Sn1 0.1501 0.1292 0.0438 1
Hg1 0.3061 0.0728 0.6932 1
Hg2 0.4832 0.1605 0.3874 1
S1 0.2672 0.2396 0.8206 1
S2 0.3015 0.5692 0.0267 1
Br1 0.0174 0.5096 0.3172 1
Br2 0.3601 0.5237 0.6170 1
```

Main lines, low angle first (2θ = 10–80°):
hkl	two_theta	I_rel
1 1 0	12.05	98.2
1 1 1	16.29	100.0
1 0 -2	17.44	29.2
1 1 -2	19.19	69.1
2 1 -2	23.07	64.5
2 2 1	27.48	73.7
1 2 -3	30.18	44.7
0 2 3	30.98	55.0
3 2 0	31.87	36.8
4 1 -1	36.42	35.9
2 1 -5	44.32	31.4
1 5 2	46.40	32.3